Computed powder XRD pattern
Compound: Li2MnVP4O14
Radiation: copper Kα
Structure: a DFT-relaxed cell (PBE+U, the Materials Project)

Structural model:
Cell: 4.858 8.280 13.338 Å, 90.00 91.42 90.00°
Space group P2_1 (No. 4)
Symmetry-distinct sites (fractional):
1 Li 0.162 0.000 0.339 x2
2 Li 0.337 0.500 0.162 x2
3 Mn 0.150 0.637 0.365 x2
4 V 0.351 0.137 0.136 x2
5 P 0.140 0.818 0.741 x2
6 P 0.169 0.421 0.957 x2
7 P 0.332 0.924 0.544 x2
8 P 0.360 0.317 0.761 x2
9 O 0.003 0.480 0.248 x2
10 O 0.052 0.174 0.242 x2
11 O 0.092 0.314 0.696 x2
12 O 0.125 0.962 0.074 x2
13 O 0.143 0.074 0.543 x2
14 O 0.190 0.332 0.057 x2
15 O 0.220 0.793 0.624 x2
16 O 0.281 0.290 0.876 x2
17 O 0.318 0.840 0.443 x2
18 O 0.356 0.571 0.959 x2
19 O 0.369 0.465 0.425 x2
20 O 0.409 0.813 0.803 x2
21 O 0.446 0.674 0.259 x2
22 O 0.496 0.981 0.247 x2

Largest 12 diffraction maxima, low angle first, 10° ≤ 2θ ≤ 80°:
d/Å  I_rel  (hkl)
5.193  100.0  0 1 2
4.021  20.6  1 1 -1
3.972  44.8  1 1 1
3.517  18.5  0 2 2
3.320  22.1  1 0 -3
3.092  10.7  0 1 4
3.080  29.0  1 1 -3
3.055  57.4  1 2 1
3.016  27.5  1 1 3
2.595  16.2  0 2 4
2.272  12.4  1 1 -5
2.101  13.7  1 3 3